Sr2Ca2Mn3FeO12: theoretical X-ray diffraction stick pattern (a wavelength of 1.5418 Å), based on a structure optimized by DFT (GGA+U).
Lines closer than 0.1° are merged.

Crystal structure
abc: 7.7360 7.6851 7.7377
angles: 90.00 90.01 90.00
Space group Pm (No. 6)
Inequivalent atoms, fractional coordinates:
Sr 0.0000 0.0000 0.0000
Sr 0.9999 0.5000 0.0000
Sr 0.5006 0.0000 0.0000
Sr 0.5006 0.5000 0.5007
Ca 0.9997 0.0000 0.5008
Ca 0.9998 0.5000 0.5008
Ca 0.5009 0.0000 0.5008
Ca 0.5008 0.5000 0.9998
Mn 0.2503 0.2500 0.7494
Mn 0.7503 0.2500 0.2515
Mn 0.7503 0.2500 0.7493
Fe 0.2503 0.2500 0.2516
O 0.9997 0.2500 0.7451
O 0.2483 0.2481 0.5041
O 0.2503 0.0000 0.2548
O 0.2503 0.0000 0.7454
O 0.2503 0.5000 0.2511
O 0.2503 0.5000 0.7497
O 0.2524 0.2520 0.9965
O 0.5009 0.2500 0.7499
O 0.5041 0.2500 0.2511
O 0.7479 0.2524 0.9997
O 0.7503 0.0000 0.2554
O 0.7503 0.0000 0.7451
O 0.7503 0.5000 0.2507
O 0.7503 0.5000 0.7500
O 0.7527 0.2476 0.5010
O 0.9966 0.2500 0.2551

Peak list (6 most intense, 10° ≤ 2θ ≤ 90°, in order of rising 2θ)
index, 2θ/deg, I (rel.)
2 0 2, 32.74, 50
2 2 0, 32.85, 100
4 0 0, 46.98, 44
0 4 0, 47.31, 22
4 2 2, 58.51, 37
4 4 0, 68.88, 24